Structure and simulated X-ray powder pattern of K3NdP2S8 (a crystal structure in OQMD, relaxed with GGA-PBE; Cu Ka).
Kinematic intensities with the Lorentz-polarization factor, no thermal factor.

Peak list (12 most intense, 10° ≤ 2θ ≤ 80°, in order of rising 2θ)
hkl  d [Å]  2theta  I (rel.)
0 2 0  8.519  10.4  80
0 1 1  8.360  10.6  100
1 2 1  5.214  17.0  24
0 3 1  4.887  18.2  16
2 2 0  4.042  22.0  17
2 0 2  3.297  27.0  34
2 2 -2  3.108  28.7  47
1 3 3  2.659  33.7  16
2 4 2  2.609  34.4  55
0 2 4  2.309  39.0  20
4 2 0  2.217  40.7  22
4 0 4  1.649  55.8  17

Structural model:
```
56
Lattice="9.184 0.000 0.000 0.000 17.037 0.000 -0.118 0.000 9.595" Properties=species:S:1:pos:R:3 pbc="T T T"
K 1.070 3.612 1.236
K 1.012 4.906 6.034
K 2.078 0.531 4.928
K 2.137 7.988 0.130
K 3.364 12.050 8.387
K 3.423 13.506 3.589
K 5.643 3.531 6.006
K 5.701 4.987 1.208
K 6.929 9.050 9.465
K 6.988 16.506 4.667
K 8.054 12.131 3.561
K 7.995 13.425 8.359
Nd 2.447 8.764 4.548
Nd 2.389 16.792 9.345
Nd 6.677 0.245 0.250
Nd 6.619 8.273 5.048
P 0.145 10.193 6.911
P 0.204 15.363 2.114
P 4.527 1.709 2.347
P 4.468 6.809 7.144
P 4.598 10.228 2.451
P 4.539 15.328 7.248
P 8.862 1.674 7.481
P 8.920 6.845 2.684
S 0.366 0.361 1.713
S 0.307 8.158 6.510
S 0.502 10.656 8.845
S 0.561 14.900 4.047
S 1.431 11.208 5.673
S 1.490 14.348 0.875
S 1.618 2.180 7.951
S 1.677 6.339 3.153
S 2.584 10.456 2.157
S 2.525 15.100 6.955
S 3.456 3.002 3.466
S 3.397 5.516 8.264
S 4.007 8.815 7.274
S 4.066 16.741 2.476
S 4.269 2.065 0.315
S 4.210 6.454 5.113
S 4.856 10.583 4.482
S 4.797 14.972 9.280
S 5.000 0.297 7.119
S 5.059 8.222 2.321
S 5.668 11.521 1.331
S 5.610 14.035 6.129
S 6.541 1.937 2.640
S 6.482 6.582 7.438
S 7.389 10.699 6.442
S 7.448 14.857 1.644
S 7.576 2.690 8.720
S 7.634 5.829 3.922
S 8.505 2.138 5.548
S 8.563 6.381 0.750
S 8.759 8.879 3.085
S 8.700 16.677 7.882
```

***

Structure and simulated X-ray powder pattern of KNdPSe4 (a crystal structure in OQMD, relaxed with GGA-PBE; Cu Ka).
Kinematic intensities with the Lorentz-polarization factor, no thermal factor.

Peak list (12 most intense, 10° ≤ 2θ ≤ 80°, in order of rising 2θ)
hkl  d [Å]  2theta  I (rel.)
0 0 1  8.735  10.1  100
0 2 0  3.437  25.9  20
1 0 2  3.228  27.6  36
2 0 -2  3.144  28.4  42
1 2 0  3.053  29.3  44
1 1 2  2.922  30.6  38
2 1 -2  2.859  31.3  33
0 2 2  2.701  33.2  33
1 2 -2  2.684  33.4  36
2 2 0  2.389  37.7  24
1 0 -4  2.291  39.3  19
3 1 0  2.109  42.9  20

Structural model:
```
14
Lattice="6.975 0.000 0.000 0.000 6.873 0.000 -2.779 0.000 8.735" Properties=species:S:1:pos:R:3 pbc="T T T"
K 0.455 1.718 3.814
K 3.741 5.155 4.921
Nd -0.766 1.718 8.252
Nd 4.962 5.155 0.483
P 1.498 5.155 1.602
P 2.698 1.718 7.133
Se -0.376 5.155 2.964
Se -1.984 5.155 8.149
Se 1.265 3.548 6.826
Se 1.265 6.762 6.826
Se 2.932 0.111 1.909
Se 2.932 3.325 1.909
Se 6.180 1.718 0.586
Se 4.573 1.718 5.770
```

***

Structure and simulated X-ray powder pattern of K3PmNd (a crystal structure in OQMD, relaxed with GGA-PBE; Cu Ka).
Kinematic intensities with the Lorentz-polarization factor, no thermal factor.

Peak list (12 most intense, 10° ≤ 2θ ≤ 80°, in order of rising 2θ)
hkl  d [Å]  2theta  I (rel.)
0 0 3  4.324  20.5  15
1 0 3  3.454  25.8  34
1 1 0  3.314  26.9  31
2 -1 1  3.211  27.8  100
1 1 2  2.951  30.3  41
1 0 4  2.823  31.7  33
1 0 5  2.364  38.1  19
2 0 4  2.149  42.0  18
3 0 0  1.913  47.5  20
3 -1 4  1.803  50.6  19
2 1 5  1.664  55.2  14
2 2 1  1.644  55.9  13

Structural model:
```
10
Lattice="6.628 0.000 0.000 -3.314 5.740 0.000 0.000 0.000 12.971" Properties=species:S:1:pos:R:3 pbc="T T T"
K -1.183 2.050 4.403
K -2.131 3.691 8.567
K 2.367 0.000 4.403
K 1.183 2.050 8.567
K 4.262 0.000 8.567
K 2.131 3.691 4.403
Pm 0.000 3.827 0.000
Pm 3.314 1.913 0.000
Nd 0.000 0.000 1.466
Nd 0.000 0.000 11.505
```

***

Please write out number 2 again, unchanged.
Structure and simulated X-ray powder pattern of KNdPSe4 (a crystal structure in OQMD, relaxed with GGA-PBE; Cu Ka).
Kinematic intensities with the Lorentz-polarization factor, no thermal factor.

Peak list (12 most intense, 10° ≤ 2θ ≤ 80°, in order of rising 2θ)
hkl  d [Å]  2theta  I (rel.)
0 0 1  8.735  10.1  100
0 2 0  3.437  25.9  20
1 0 2  3.228  27.6  36
2 0 -2  3.144  28.4  42
1 2 0  3.053  29.3  44
1 1 2  2.922  30.6  38
2 1 -2  2.859  31.3  33
0 2 2  2.701  33.2  33
1 2 -2  2.684  33.4  36
2 2 0  2.389  37.7  24
1 0 -4  2.291  39.3  19
3 1 0  2.109  42.9  20

Structural model:
```
14
Lattice="6.975 0.000 0.000 0.000 6.873 0.000 -2.779 0.000 8.735" Properties=species:S:1:pos:R:3 pbc="T T T"
K 0.455 1.718 3.814
K 3.741 5.155 4.921
Nd -0.766 1.718 8.252
Nd 4.962 5.155 0.483
P 1.498 5.155 1.602
P 2.698 1.718 7.133
Se -0.376 5.155 2.964
Se -1.984 5.155 8.149
Se 1.265 3.548 6.826
Se 1.265 6.762 6.826
Se 2.932 0.111 1.909
Se 2.932 3.325 1.909
Se 6.180 1.718 0.586
Se 4.573 1.718 5.770
```